(1)
Structure and simulated powder diffractogram of Ca2YPaO6 (a DFT-relaxed cell (PBE, Alexandria); a wavelength of 1.5418 Å).
Neutral-atom scattering factors, no anomalous dispersion.

The 8 most intense peaks (2θ = 10–80°), by intensity:
(0 1 2), d = 4.234 Å, 21.0°, rel. 100
(1 0 4), d = 3.048 Å, 29.3°, rel. 88
(1 1 0), d = 2.943 Å, 30.4°, rel. 78
(1 1 6), d = 1.921 Å, 47.3°, rel. 42
(0 2 4), d = 2.117 Å, 42.7°, rel. 41
(2 1 4), d = 1.719 Å, 53.3°, rel. 37
(1 0 1), d = 4.833 Å, 18.4°, rel. 37
(3 0 0), d = 1.699 Å, 54.0°, rel. 26

Structure:
```
data_Ca2YPaO6
_chemical_formula_sum 'Ca6 Y3 Pa3 O18'
_cell_length_a 5.8863
_cell_length_b 5.8863
_cell_length_c 15.2072
_cell_angle_alpha 90.00
_cell_angle_beta 90.00
_cell_angle_gamma 120.00
_space_group_name_H-M_alt 'R 3'
_space_group_IT_number 146
_space_group_name_Hall 'R 3'
loop_
_atom_site_label
_atom_site_fract_x
_atom_site_fract_y
_atom_site_fract_z
Ca1 0.0000 0.0000 0.0000
Ca2 0.0000 0.0000 0.4969
Y1 0.0000 0.0000 0.2790
Pa1 0.0000 0.0000 0.7829
O1 0.0173 0.3881 0.0478
O2 0.0271 0.7278 0.8773
```

(2)
Structure and simulated powder diffractogram of Ca2Pb3O8 (a DFT-relaxed cell (PBE, Alexandria); a wavelength of 1.5418 Å).
Neutral-atom scattering factors, no anomalous dispersion.

The 8 most intense peaks (2θ = 10–80°), by intensity:
(2 0 1), d = 2.836 Å, 31.5°, rel. 100
(0 0 2), d = 5.201 Å, 17.0°, rel. 96
(2 2 0), d = 1.701 Å, 53.9°, rel. 58
(2 0 3), d = 2.246 Å, 40.1°, rel. 50
(1 0 1), d = 5.129 Å, 17.3°, rel. 34
(2 2 2), d = 1.617 Å, 56.9°, rel. 29
(2 0 2), d = 2.565 Å, 35.0°, rel. 26
(1 1 2), d = 2.848 Å, 31.4°, rel. 26

Structure:
```
data_Ca2Pb3O8
_chemical_formula_sum 'Ca4 Pb6 O16'
_cell_length_a 6.8081
_cell_length_b 6.8081
_cell_length_c 10.4022
_cell_angle_alpha 90.00
_cell_angle_beta 90.00
_cell_angle_gamma 120.00
_space_group_name_H-M_alt 'P 63 m c'
_space_group_IT_number 186
_space_group_name_Hall 'P 6c -2c'
loop_
_atom_site_label
_atom_site_fract_x
_atom_site_fract_y
_atom_site_fract_z
Ca1 0.3333 0.6667 0.0000
Ca2 0.3333 0.6667 0.3613
Pb1 0.1652 0.3304 0.7156
O1 0.0000 0.0000 0.3250
O2 0.0476 0.5238 0.8359
O3 0.1708 0.3415 0.1265
O4 0.3333 0.6667 0.5965
```

(3)
Structure and simulated powder diffractogram of Ca2RePbO6 (a DFT-relaxed cell (PBE, Alexandria); a wavelength of 1.5418 Å).
Neutral-atom scattering factors, no anomalous dispersion.

The 8 most intense peaks (2θ = 10–80°), by intensity:
(1 1 1), d = 3.243 Å, 27.5°, rel. 100
(0 0 1), d = 5.486 Å, 16.2°, rel. 53
(1 1 0), d = 4.020 Å, 22.1°, rel. 53
(2 0 0), d = 2.843 Å, 31.5°, rel. 38
(3 1 1), d = 1.708 Å, 53.6°, rel. 32
(1 1 2), d = 2.266 Å, 39.8°, rel. 23
(2 2 0), d = 2.010 Å, 45.1°, rel. 22
(2 0 2), d = 1.974 Å, 46.0°, rel. 21

Structure:
```
data_Ca2RePbO6
_chemical_formula_sum 'Ca2 Re1 Pb1 O6'
_cell_length_a 5.685
_cell_length_b 5.685
_cell_length_c 5.486
_cell_angle_alpha 90.00
_cell_angle_beta 90.00
_cell_angle_gamma 90.00
_space_group_name_H-M_alt 'P 4 m m'
_space_group_IT_number 99
_space_group_name_Hall 'P 4 -2'
loop_
_atom_site_label
_atom_site_fract_x
_atom_site_fract_y
_atom_site_fract_z
Ca1 0.000 0.500 0.000
Re1 0.000 0.000 0.658
Pb1 0.500 0.500 0.572
O1 0.000 0.000 0.335
O2 0.222 0.222 0.784
O3 0.500 0.500 0.175
```

(4)
Structure and simulated powder diffractogram of CaRuPb2O8 (a DFT-relaxed cell (PBE, Alexandria); a wavelength of 1.5418 Å).
Neutral-atom scattering factors, no anomalous dispersion.

The 8 most intense peaks (2θ = 10–80°), by intensity:
(1 0 1), d = 3.536 Å, 25.2°, rel. 100
(1 0 -1), d = 3.551 Å, 25.1°, rel. 98
(1 2 0), d = 2.789 Å, 32.1°, rel. 88
(0 2 1), d = 2.802 Å, 31.9°, rel. 83
(0 0 1), d = 5.050 Å, 17.6°, rel. 42
(1 0 0), d = 4.975 Å, 17.8°, rel. 40
(1 2 -1), d = 2.443 Å, 36.8°, rel. 38
(2 2 1), d = 1.858 Å, 49.0°, rel. 36

Structure:
```
data_CaRuPb2O8
_chemical_formula_sum 'Ca1 Ru1 Pb2 O8'
_cell_length_a 4.975
_cell_length_b 6.735
_cell_length_c 5.050
_cell_angle_alpha 90.00
_cell_angle_beta 90.25
_cell_angle_gamma 90.00
_space_group_name_H-M_alt 'P 1 2/m 1'
_space_group_IT_number 10
_space_group_name_Hall '-P 2y'
loop_
_atom_site_label
_atom_site_fract_x
_atom_site_fract_y
_atom_site_fract_z
Ca1 0.000 0.000 0.000
Ru1 0.000 0.500 0.000
Pb1 0.500 0.251 0.500
O1 0.195 0.294 0.174
O2 0.273 0.500 0.704
O3 0.299 0.000 0.676
```

(5)
Structure and simulated powder diffractogram of CaSiPbO5 (a DFT-relaxed cell (PBE, Alexandria); a wavelength of 1.5418 Å).
Neutral-atom scattering factors, no anomalous dispersion.

The 8 most intense peaks (2θ = 10–80°), by intensity:
(1 1 0), d = 5.225 Å, 17.0°, rel. 100
(1 1 -2), d = 3.396 Å, 26.2°, rel. 79
(0 2 2), d = 2.748 Å, 32.6°, rel. 47
(1 3 0), d = 2.763 Å, 32.4°, rel. 47
(2 0 0), d = 3.174 Å, 28.1°, rel. 43
(0 2 0), d = 4.603 Å, 19.3°, rel. 35
(2 4 -2), d = 1.818 Å, 50.2°, rel. 33
(3 1 -2), d = 2.156 Å, 41.9°, rel. 23

Structure:
```
data_CaSiPbO5
_chemical_formula_sum 'Ca4 Si4 Pb4 O20'
_cell_length_a 6.868
_cell_length_b 9.205
_cell_length_c 7.413
_cell_angle_alpha 90.00
_cell_angle_beta 112.45
_cell_angle_gamma 90.00
_space_group_name_H-M_alt 'C 1 2/c 1'
_space_group_IT_number 15
_space_group_name_Hall '-C 2yc'
loop_
_atom_site_label
_atom_site_fract_x
_atom_site_fract_y
_atom_site_fract_z
Ca1 0.000 0.154 0.250
Si1 0.000 0.182 0.750
Pb1 0.000 0.500 0.000
O1 0.000 0.399 0.250
O2 0.121 0.285 0.641
O3 0.162 0.069 0.913
```

(6)
Structure and simulated powder diffractogram of Ca2Si3Pb3O11 (a DFT-relaxed cell (PBE, Alexandria); a wavelength of 1.5418 Å).
Neutral-atom scattering factors, no anomalous dispersion.

The 8 most intense peaks (2θ = 10–80°), by intensity:
(2 1 1), d = 3.139 Å, 28.4°, rel. 100
(1 1 2), d = 3.601 Å, 24.7°, rel. 100
(1 1 0), d = 5.034 Å, 17.6°, rel. 85
(1 1 3), d = 2.838 Å, 31.5°, rel. 85
(2 1 2), d = 2.777 Å, 32.2°, rel. 83
(3 0 0), d = 2.907 Å, 30.8°, rel. 81
(0 0 3), d = 3.436 Å, 25.9°, rel. 78
(1 1 1), d = 4.524 Å, 19.6°, rel. 78

Structure:
```
data_Ca2Si3Pb3O11
_chemical_formula_sum 'Ca6 Si9 Pb9 O33'
_cell_length_a 10.0687
_cell_length_b 10.0687
_cell_length_c 10.3071
_cell_angle_alpha 90.00
_cell_angle_beta 90.00
_cell_angle_gamma 120.00
_space_group_name_H-M_alt 'P -6'
_space_group_IT_number 174
_space_group_name_Hall 'P -6'
loop_
_atom_site_label
_atom_site_fract_x
_atom_site_fract_y
_atom_site_fract_z
Ca1 0.0000 0.0000 0.0000
Ca2 0.0000 0.0000 0.3237
Ca3 0.6667 0.3333 0.0000
Ca4 0.6667 0.3333 0.3402
Si1 0.3086 0.0534 0.5000
Si2 0.3570 0.2854 0.1501
Pb1 0.0559 0.3940 0.1778
Pb2 0.0799 0.6866 0.5000
O1 0.0207 0.5923 0.2521
O2 0.0690 0.3173 0.3765
O3 0.1794 0.1538 0.1588
O4 0.1995 0.1341 0.5000
O5 0.4047 0.3657 0.0000
O6 0.4707 0.2106 0.1696
O7 0.4889 0.1778 0.5000
```

(7)
Structure and simulated powder diffractogram of Ca2Si3PbO9 (a DFT-relaxed cell (PBE, Alexandria); a wavelength of 1.5418 Å).
Neutral-atom scattering factors, no anomalous dispersion.

The 8 most intense peaks (2θ = 10–80°), by intensity:
(2 1 2), d = 3.068 Å, 29.1°, rel. 100
(0 0 3), d = 3.015 Å, 29.6°, rel. 84
(1 1 0), d = 5.164 Å, 17.2°, rel. 63
(1 -2 1), d = 2.717 Å, 33.0°, rel. 55
(1 2 1), d = 3.212 Å, 27.8°, rel. 52
(0 1 0), d = 6.648 Å, 13.3°, rel. 48
(1 0 -1), d = 4.432 Å, 20.0°, rel. 43
(1 0 0), d = 6.186 Å, 14.3°, rel. 40

Structure:
```
data_Ca2Si3PbO9
_chemical_formula_sum 'Ca4 Si6 Pb2 O18'
_cell_length_a 6.787
_cell_length_b 6.839
_cell_length_c 9.665
_cell_angle_alpha 87.85
_cell_angle_beta 69.52
_cell_angle_gamma 76.71
_space_group_name_H-M_alt 'P -1'
_space_group_IT_number 2
_space_group_name_Hall '-P 1'
loop_
_atom_site_label
_atom_site_fract_x
_atom_site_fract_y
_atom_site_fract_z
Ca1 0.229 0.273 0.006
Ca2 0.262 0.557 0.669
Si1 0.120 0.097 0.720
Si2 0.216 0.560 0.299
Si3 0.266 0.764 0.017
Pb1 0.381 0.095 0.341
O1 0.022 0.766 0.376
O2 0.070 0.953 0.126
O3 0.112 0.387 0.260
O4 0.165 0.625 0.940
O5 0.267 0.230 0.758
O6 0.276 0.892 0.628
O7 0.359 0.475 0.402
O8 0.369 0.638 0.138
O9 0.453 0.868 0.911
```

(8)
Structure and simulated powder diffractogram of CaTe2PbO8 (a DFT-relaxed cell (PBE, Alexandria); a wavelength of 1.5418 Å).
Neutral-atom scattering factors, no anomalous dispersion.

The 8 most intense peaks (2θ = 10–80°), by intensity:
(1 0 1), d = 4.223 Å, 21.0°, rel. 100
(1 1 0), d = 2.979 Å, 30.0°, rel. 85
(1 0 2), d = 2.993 Å, 29.8°, rel. 76
(0 0 1), d = 7.350 Å, 12.0°, rel. 60
(3 0 0), d = 1.722 Å, 53.2°, rel. 49
(1 1 1), d = 2.761 Å, 32.4°, rel. 44
(0 2 2), d = 2.112 Å, 42.8°, rel. 43
(0 1 3), d = 2.213 Å, 40.8°, rel. 30

Structure:
```
data_CaTe2PbO8
_chemical_formula_sum 'Ca1 Te2 Pb1 O8'
_cell_length_a 5.9587
_cell_length_b 5.9587
_cell_length_c 7.3499
_cell_angle_alpha 90.00
_cell_angle_beta 90.00
_cell_angle_gamma 120.00
_space_group_name_H-M_alt 'P -3 m 1'
_space_group_IT_number 164
_space_group_name_Hall '-P 3 2"'
loop_
_atom_site_label
_atom_site_fract_x
_atom_site_fract_y
_atom_site_fract_z
Ca1 0.0000 0.0000 0.0000
Te1 0.3333 0.6667 0.3019
Pb1 0.0000 0.0000 0.5000
O1 0.1638 0.3276 0.2201
O2 0.3333 0.6667 0.5494
```